Starting from a DFT-relaxed cell (PBE, Alexandria), the powder diffraction line list of Ce3Si6N11 was computed for Cu Kα, 1.54184 Å.
Neutral-atom scattering factors, no anomalous dispersion.

The 8 most intense peaks (2θ = 10–90°), in order of falling intensity:
d [Å], 2θ (°), Rel. int., (hkl)
2.684, 33.38, 100.0, 3 1 1
4.888, 18.15, 75.5, 0 0 1
2.894, 30.90, 68.2, 2 2 1
3.327, 26.79, 62.6, 2 1 1
2.443, 36.79, 45.9, 0 0 2
2.463, 36.48, 41.7, 4 1 0
3.212, 27.78, 39.4, 3 1 0
2.200, 41.03, 32.6, 4 1 1

Crystal structure
a b c (Å): 10.1563 10.1563 4.8884
angles (deg): 90.00 90.00 90.00
Element x y z (fractional)
Ce 0.0000 0.0000 0.0000
Ce 0.1809 0.3191 0.9929
Ce 0.3191 0.8191 0.9929
Ce 0.5000 0.5000 0.0000
Ce 0.6809 0.1809 0.9929
Ce 0.8191 0.6809 0.9929
Si 0.0792 0.7912 0.4612
Si 0.1174 0.6174 0.9499
Si 0.2088 0.0792 0.4612
Si 0.2912 0.5792 0.4612
Si 0.3826 0.1174 0.9499
Si 0.4208 0.2912 0.4612
Si 0.5792 0.7088 0.4612
Si 0.6174 0.8826 0.9499
Si 0.7088 0.4208 0.4612
Si 0.7912 0.9208 0.4612
Si 0.8826 0.3826 0.9499
Si 0.9208 0.2088 0.4612
N 0.0000 0.5000 0.9227
N 0.0758 0.7706 0.8142
N 0.0793 0.1791 0.3482
N 0.1538 0.6538 0.2966
N 0.1791 0.9207 0.3482
N 0.2294 0.0758 0.8142
N 0.2706 0.5758 0.8142
N 0.3209 0.4207 0.3482
N 0.3462 0.1538 0.2966
N 0.4207 0.6791 0.3482
N 0.4242 0.2706 0.8142
N 0.5000 0.0000 0.9227
N 0.5758 0.7294 0.8142
N 0.5793 0.3209 0.3482
N 0.6538 0.8462 0.2966
N 0.6791 0.5793 0.3482
N 0.7294 0.4242 0.8142
N 0.7706 0.9242 0.8142
N 0.8209 0.0793 0.3482
N 0.8462 0.3462 0.2966
N 0.9207 0.8209 0.3482
N 0.9242 0.2294 0.8142